Entry 1:
Rb3ZnCd4: computed PXRD pattern (Cu Kα X-rays), based on a structure optimized by DFT (GGA-PBE).
No peak broadening, texture or thermal motion is included.

Main lines, sorted by position (2θ = 10–80°):
two_theta  d_spacing  I_rel
13.74  6.444  39
27.03  3.299  96
27.66  3.225  100
27.87  3.201  96
30.95  2.889  87
31.75  2.818  34
35.69  2.516  48
36.11  2.487  59
39.49  2.282  33
40.89  2.207  32
48.42  1.880  44
51.05  1.789  32

Structural model:
abc: 7.660 7.660 7.660
angles: 130.09 118.98 82.62
Sites, in units of the cell vectors:
Rb (0.000, 0.000, 0.000)
Rb (0.093, 0.340, 0.753)
Rb (0.588, 0.340, 0.247)
Zn (0.382, 0.882, 0.500)
Cd (0.369, 0.674, 0.695)
Cd (0.587, 0.329, 0.742)
Cd (0.587, 0.844, 0.258)
Cd (0.978, 0.674, 0.305)



Entry 2:
Rb4ZnCd4: computed PXRD pattern (Cu Kα X-rays), based on a structure optimized by DFT (GGA-PBE).
No peak broadening, texture or thermal motion is included.

Main lines, sorted by position (2θ = 10–80°):
two_theta  d_spacing  I_rel
11.87  7.456  83
26.74  3.334  54
26.90  3.315  40
27.11  3.289  59
28.43  3.140  22
29.69  3.009  100
31.89  2.806  71
33.21  2.698  35
43.35  2.087  22
43.88  2.063  41
44.90  2.019  22
59.11  1.563  25

Structural model:
abc: 10.544 10.544 6.984
angles: 90.00 90.00 90.00
Sites, in units of the cell vectors:
Rb (0.056, 0.823, 0.105)
Rb (0.177, 0.556, 0.605)
Rb (0.323, 0.944, 0.605)
Rb (0.444, 0.677, 0.105)
Rb (0.556, 0.323, 0.895)
Rb (0.677, 0.056, 0.395)
Rb (0.823, 0.444, 0.395)
Rb (0.944, 0.177, 0.895)
Zn (0.250, 0.250, 0.750)
Zn (0.750, 0.750, 0.250)
Cd (0.102, 0.202, 0.408)
Cd (0.202, 0.398, 0.092)
Cd (0.298, 0.102, 0.092)
Cd (0.398, 0.298, 0.408)
Cd (0.602, 0.702, 0.592)
Cd (0.702, 0.898, 0.908)
Cd (0.798, 0.602, 0.908)
Cd (0.898, 0.798, 0.592)



Entry 3:
RbZnCd2: computed PXRD pattern (Cu Kα X-rays), based on a structure optimized by DFT (GGA-PBE).
No peak broadening, texture or thermal motion is included.

Main lines, sorted by position (2θ = 10–80°):
two_theta  d_spacing  I_rel
13.41  6.602  98
21.74  4.088  26
27.01  3.301  47
27.94  3.193  46
31.11  2.875  61
37.28  2.412  100
39.79  2.266  40
46.64  1.948  61
49.32  1.848  16
51.03  1.790  32
67.22  1.393  17
77.27  1.235  18

Structural model:
abc: 7.165 7.165 7.165
angles: 39.35 39.35 39.35
Sites, in units of the cell vectors:
Rb (0.000, 0.000, 0.000)
Zn (0.500, 0.500, 0.500)
Cd (0.191, 0.191, 0.191)
Cd (0.809, 0.809, 0.809)



Entry 4:
Cd4Re3: computed PXRD pattern (Cu Kα X-rays), based on a structure optimized by DFT (GGA-PBE).
No peak broadening, texture or thermal motion is included.

Main lines, sorted by position (2θ = 10–80°):
two_theta  d_spacing  I_rel
11.85  7.470  27
37.15  2.420  100
42.35  2.134  12
43.57  2.077  36
45.31  2.001  4
45.48  1.995  10
62.38  1.489  15
63.31  1.469  12
67.56  1.387  5
74.02  1.281  4
75.75  1.256  24
79.15  1.210  7

Structural model:
abc: 15.085 15.085 15.085
angles: 168.82 168.82 15.83
Sites, in units of the cell vectors:
Cd (0.070, 0.070, 0.000)
Cd (0.348, 0.348, 0.000)
Cd (0.652, 0.652, 0.000)
Cd (0.930, 0.930, 0.000)
Re (0.225, 0.225, 0.000)
Re (0.500, 0.500, 0.000)
Re (0.775, 0.775, 0.000)



Entry 5:
Cd3Re5: computed PXRD pattern (Cu Kα X-rays), based on a structure optimized by DFT (GGA-PBE).
No peak broadening, texture or thermal motion is included.

Main lines, sorted by position (2θ = 10–80°):
two_theta  d_spacing  I_rel
11.26  7.862  99
11.65  7.599  100
31.57  2.834  39
33.96  2.640  99
36.42  2.467  83
39.11  2.303  38
39.89  2.260  78
40.99  2.202  38
43.38  2.086  67
44.02  2.057  40
44.29  2.045  72
45.25  2.004  95

Structural model:
abc: 4.945 7.969 8.148
angles: 81.94 75.31 72.93
Sites, in units of the cell vectors:
Cd (0.193, 0.074, 0.051)
Cd (0.197, 0.101, 0.515)
Cd (0.294, 0.481, 0.904)
Cd (0.706, 0.519, 0.096)
Cd (0.803, 0.899, 0.485)
Cd (0.807, 0.926, 0.949)
Re (0.088, 0.685, 0.213)
Re (0.236, 0.483, 0.547)
Re (0.241, 0.350, 0.242)
Re (0.289, 0.755, 0.650)
Re (0.431, 0.792, 0.319)
Re (0.569, 0.208, 0.681)
Re (0.711, 0.245, 0.350)
Re (0.759, 0.650, 0.758)
Re (0.764, 0.517, 0.453)
Re (0.912, 0.315, 0.787)



Entry 6:
Cd5Re3: computed PXRD pattern (Cu Kα X-rays), based on a structure optimized by DFT (GGA-PBE).
No peak broadening, texture or thermal motion is included.

Main lines, sorted by position (2θ = 10–80°):
two_theta  d_spacing  I_rel
12.00  7.374  21
24.14  3.687  14
32.11  2.787  40
36.27  2.477  16
37.01  2.429  100
42.22  2.141  39
44.05  2.056  25
48.13  1.890  25
62.84  1.479  14
65.74  1.420  19
68.82  1.364  19
74.95  1.267  15

Structural model:
abc: 8.515 8.515 4.953
angles: 90.00 90.00 120.00
Sites, in units of the cell vectors:
Cd (0.000, 0.225, 0.250)
Cd (0.000, 0.775, 0.750)
Cd (0.225, 0.000, 0.250)
Cd (0.225, 0.225, 0.750)
Cd (0.333, 0.667, 0.000)
Cd (0.333, 0.667, 0.500)
Cd (0.667, 0.333, 0.000)
Cd (0.667, 0.333, 0.500)
Cd (0.775, 0.000, 0.750)
Cd (0.775, 0.775, 0.250)
Re (0.000, 0.434, 0.750)
Re (0.000, 0.566, 0.250)
Re (0.434, 0.000, 0.750)
Re (0.434, 0.434, 0.250)
Re (0.566, 0.000, 0.250)
Re (0.566, 0.566, 0.750)



Entry 7:
Cd2ReRh: computed PXRD pattern (Cu Kα X-rays), based on a structure optimized by DFT (GGA-PBE).
No peak broadening, texture or thermal motion is included.

Main lines, sorted by position (2θ = 10–80°):
two_theta  d_spacing  I_rel
10.46  8.454  26
31.75  2.818  5
37.85  2.377  100
42.79  2.114  12
44.58  2.033  35
45.05  2.012  11
63.50  1.465  15
63.87  1.457  6
64.87  1.437  11
72.75  1.300  5
75.08  1.265  4
77.63  1.230  24

Structural model:
abc: 2.875 2.875 8.454
angles: 90.00 90.00 90.00
Sites, in units of the cell vectors:
Cd (0.000, 0.000, 0.000)
Cd (0.500, 0.500, 0.300)
Re (0.000, 0.000, 0.556)
Rh (0.500, 0.500, 0.751)



Entry 8:
Sr2CdRe: computed PXRD pattern (Cu Kα X-rays), based on a structure optimized by DFT (GGA-PBE).
No peak broadening, texture or thermal motion is included.

Main lines, sorted by position (2θ = 10–80°):
two_theta  d_spacing  I_rel
15.13  5.857  17
15.79  5.612  26
18.68  4.751  32
30.33  2.947  23
30.53  2.928  34
31.37  2.852  45
34.30  2.614  100
36.45  2.465  29
37.23  2.415  57
38.35  2.347  24
39.20  2.298  23
56.39  1.632  18

Structural model:
abc: 6.291 6.291 5.834
angles: 105.30 105.30 29.26
Sites, in units of the cell vectors:
Sr (0.000, 0.000, 0.000)
Sr (0.189, 0.189, 0.622)
Cd (0.767, 0.767, 0.178)
Re (0.442, 0.442, 0.478)



Entry 9:
Tb4CdRe: computed PXRD pattern (Cu Kα X-rays), based on a structure optimized by DFT (GGA-PBE).
No peak broadening, texture or thermal motion is included.

Main lines, sorted by position (2θ = 10–80°):
two_theta  d_spacing  I_rel
12.65  6.995  73
13.66  6.481  36
29.27  3.051  33
29.42  3.036  32
31.37  2.852  29
32.19  2.780  71
32.62  2.745  100
34.34  2.612  38
35.47  2.531  67
36.30  2.475  42
40.60  2.222  32
47.43  1.917  31

Structural model:
abc: 7.800 7.800 6.263
angles: 99.24 99.24 112.40
Sites, in units of the cell vectors:
Tb (0.064, 0.723, 0.955)
Tb (0.200, 0.358, 0.605)
Tb (0.277, 0.936, 0.545)
Tb (0.358, 0.200, 0.105)
Tb (0.642, 0.800, 0.895)
Tb (0.723, 0.064, 0.455)
Tb (0.800, 0.642, 0.395)
Tb (0.936, 0.277, 0.045)
Cd (0.375, 0.625, 0.250)
Cd (0.625, 0.375, 0.750)
Re (0.001, 0.999, 0.750)
Re (0.999, 0.001, 0.250)



Entry 10:
Cd2ReTc: computed PXRD pattern (Cu Kα X-rays), based on a structure optimized by DFT (GGA-PBE).
No peak broadening, texture or thermal motion is included.

Main lines, sorted by position (2θ = 10–80°):
two_theta  d_spacing  I_rel
10.91  8.111  25
33.13  2.704  6
37.44  2.402  100
42.90  2.108  39
44.69  2.028  9
45.28  2.003  10
55.26  1.662  6
62.29  1.491  13
63.68  1.461  13
65.51  1.425  9
74.99  1.267  25
79.87  1.201  7

Structural model:
abc: 2.981 2.981 8.111
angles: 90.00 90.00 90.00
Sites, in units of the cell vectors:
Cd (0.000, 0.000, 0.000)
Cd (0.500, 0.500, 0.295)
Re (0.000, 0.000, 0.559)
Tc (0.500, 0.500, 0.737)



Entry 11:
Th3CdRe: computed PXRD pattern (Cu Kα X-rays), based on a structure optimized by DFT (GGA-PBE).
No peak broadening, texture or thermal motion is included.

Main lines, sorted by position (2θ = 10–80°):
two_theta  d_spacing  I_rel
10.53  8.398  46
27.09  3.292  26
30.02  2.977  100
31.15  2.872  89
33.68  2.661  58
34.12  2.628  99
34.63  2.591  79
36.60  2.455  43
38.98  2.310  49
46.80  1.941  27
52.21  1.752  29
54.37  1.687  39

Structural model:
abc: 9.830 9.020 6.077
angles: 78.60 64.10 37.30
Sites, in units of the cell vectors:
Th (0.198, 0.198, 0.802)
Th (0.205, 0.569, 0.431)
Th (0.431, 0.795, 0.205)
Th (0.569, 0.205, 0.795)
Th (0.795, 0.431, 0.569)
Th (0.802, 0.802, 0.198)
Cd (0.206, 0.794, 0.794)
Cd (0.794, 0.206, 0.206)
Re (0.250, 0.250, 0.250)
Re (0.750, 0.750, 0.750)



Entry 12:
Th4CdRe: computed PXRD pattern (Cu Kα X-rays), based on a structure optimized by DFT (GGA-PBE).
No peak broadening, texture or thermal motion is included.

Main lines, sorted by position (2θ = 10–80°):
two_theta  d_spacing  I_rel
11.82  7.486  14
29.20  3.059  11
30.44  2.937  100
33.85  2.648  32
38.00  2.368  64
40.87  2.208  9
52.56  1.741  35
57.75  1.596  12
60.57  1.529  25
69.31  1.356  13
69.96  1.345  8
73.77  1.284  12

Structural model:
abc: 7.486 7.486 6.117
angles: 90.00 90.00 90.00
Sites, in units of the cell vectors:
Th (0.140, 0.318, 0.000)
Th (0.140, 0.682, 0.500)
Th (0.318, 0.140, 0.500)
Th (0.318, 0.860, 0.000)
Th (0.682, 0.140, 0.000)
Th (0.682, 0.860, 0.500)
Th (0.860, 0.318, 0.500)
Th (0.860, 0.682, 0.000)
Cd (0.500, 0.500, 0.250)
Cd (0.500, 0.500, 0.750)
Re (0.000, 0.000, 0.250)
Re (0.000, 0.000, 0.750)



Entry 13:
TlCdRe2: computed PXRD pattern (Cu Kα X-rays), based on a structure optimized by DFT (GGA-PBE).
No peak broadening, texture or thermal motion is included.

Main lines, sorted by position (2θ = 10–80°):
two_theta  d_spacing  I_rel
10.25  8.626  33
31.10  2.875  11
36.27  2.477  100
41.89  2.156  7
42.24  2.139  42
43.42  2.084  17
53.38  1.716  9
61.01  1.519  9
61.27  1.513  14
61.91  1.499  14
73.33  1.291  26
78.05  1.224  6

Structural model:
abc: 3.026 3.026 8.626
angles: 90.00 90.00 90.00
Sites, in units of the cell vectors:
Tl (0.000, 0.000, 0.000)
Cd (0.500, 0.500, 0.321)
Re (0.000, 0.000, 0.567)
Re (0.500, 0.500, 0.731)



Entry 14:
Zr4Cd3Re: computed PXRD pattern (Cu Kα X-rays), based on a structure optimized by DFT (GGA-PBE).
No peak broadening, texture or thermal motion is included.

Main lines, sorted by position (2θ = 10–80°):
two_theta  d_spacing  I_rel
11.53  7.673  5
23.18  3.836  3
26.86  3.320  3
35.77  2.510  100
38.35  2.347  45
40.01  2.254  6
47.39  1.918  8
55.34  1.660  17
62.53  1.485  15
67.67  1.385  30
73.66  1.286  2
75.79  1.255  8

Structural model:
abc: 3.320 3.320 15.346
angles: 90.00 90.00 90.00
Sites, in units of the cell vectors:
Zr (0.000, 0.000, 0.103)
Zr (0.000, 0.000, 0.367)
Zr (0.000, 0.000, 0.633)
Zr (0.000, 0.000, 0.897)
Cd (0.500, 0.500, 0.239)
Cd (0.500, 0.500, 0.500)
Cd (0.500, 0.500, 0.761)
Re (0.500, 0.500, 0.000)